KPb12Au5: theoretical powder diffraction line list (Cu Kα X-rays), based on DFT lattice parameters and positions (PBE).
Kinematic intensities with the Lorentz-polarization factor, no thermal factor.

abc: 8.803 8.803 8.803
angles: 114.57 113.93 100.29
Atoms (fractional coordinates):
K 0.000 0.000 0.000
Pb 0.119 0.817 0.302
Pb 0.229 0.321 0.549
Pb 0.229 0.679 0.908
Pb 0.269 0.067 0.798
Pb 0.269 0.471 0.202
Pb 0.485 0.183 0.302
Pb 0.515 0.817 0.698
Pb 0.731 0.529 0.798
Pb 0.731 0.933 0.202
Pb 0.771 0.321 0.092
Pb 0.771 0.679 0.451
Pb 0.881 0.183 0.698
Au 0.125 0.625 0.500
Au 0.500 0.151 0.651
Au 0.500 0.500 0.000
Au 0.500 0.849 0.349
Au 0.875 0.375 0.500

The 6 most intense peaks (15 to 90 degrees two-theta), in order of rising 2θ:
2θ (°)	intensity
30.85	100
31.68	90
33.74	63
34.82	79
37.48	40
58.54	30

=====

TlZnAgCl4: theoretical powder diffraction line list (Cu Kα X-rays), based on DFT lattice parameters and positions (PBE).
Kinematic intensities with the Lorentz-polarization factor, no thermal factor.

abc: 6.538 7.282 8.580
angles: 90.00 104.53 90.00
Atoms (fractional coordinates):
Tl 0.242 0.250 0.051
Tl 0.758 0.750 0.949
Zn 0.235 0.750 0.315
Zn 0.765 0.250 0.685
Ag 0.166 0.250 0.522
Ag 0.834 0.750 0.478
Cl 0.012 0.011 0.715
Cl 0.012 0.489 0.715
Cl 0.354 0.750 0.089
Cl 0.475 0.750 0.554
Cl 0.525 0.250 0.446
Cl 0.646 0.250 0.911
Cl 0.988 0.511 0.285
Cl 0.988 0.989 0.285

The 6 most intense peaks (15 to 90 degrees two-theta), in order of rising 2θ:
2θ (°)	intensity
18.57	91
19.63	65
24.45	100
31.10	93
32.71	76
33.37	95

=====

UB4Ir5: theoretical powder diffraction line list (Cu Kα X-rays), based on DFT lattice parameters and positions (PBE).
Kinematic intensities with the Lorentz-polarization factor, no thermal factor.

abc: 6.888 6.888 5.444
angles: 90.00 90.00 90.00
Atoms (fractional coordinates):
U 0.250 0.750 0.000
U 0.750 0.250 0.000
B 0.041 0.250 0.408
B 0.250 0.041 0.408
B 0.250 0.459 0.408
B 0.459 0.250 0.408
B 0.541 0.750 0.592
B 0.750 0.541 0.592
B 0.750 0.959 0.592
B 0.959 0.750 0.592
Ir 0.040 0.040 0.731
Ir 0.040 0.460 0.731
Ir 0.250 0.250 0.104
Ir 0.460 0.040 0.731
Ir 0.460 0.460 0.731
Ir 0.540 0.540 0.269
Ir 0.540 0.960 0.269
Ir 0.750 0.750 0.896
Ir 0.960 0.540 0.269
Ir 0.960 0.960 0.269

The 6 most intense peaks (15 to 90 degrees two-theta), in order of rising 2θ:
2θ (°)	intensity
30.72	58
33.42	33
36.91	81
42.32	100
42.74	46
76.51	25

=====

Y2Al2Ru: theoretical powder diffraction line list (Cu Kα X-rays), based on DFT lattice parameters and positions (PBE).
Kinematic intensities with the Lorentz-polarization factor, no thermal factor.

abc: 6.865 6.865 4.521
angles: 90.00 90.00 90.00
Atoms (fractional coordinates):
Y 0.176 0.324 0.000
Y 0.324 0.824 0.000
Y 0.676 0.176 0.000
Y 0.824 0.676 0.000
Al 0.136 0.636 0.500
Al 0.364 0.136 0.500
Al 0.636 0.864 0.500
Al 0.864 0.364 0.500
Ru 0.000 0.000 0.500
Ru 0.500 0.500 0.500

The 6 most intense peaks (15 to 90 degrees two-theta), in order of rising 2θ:
2θ (°)	intensity
26.95	48
32.76	90
35.34	100
39.88	35
41.60	49
58.99	34

=====

BaNaCuBrO2: theoretical powder diffraction line list (Cu Kα X-rays), based on DFT lattice parameters and positions (PBE).
Kinematic intensities with the Lorentz-polarization factor, no thermal factor.

abc: 3.994 3.994 7.348
angles: 90.00 90.00 90.00
Atoms (fractional coordinates):
Ba 0.000 0.000 0.000
Na 0.000 0.000 0.567
Cu 0.500 0.500 0.744
Br 0.500 0.500 0.280
O 0.000 0.500 0.765
O 0.500 0.000 0.765

The 6 most intense peaks (15 to 90 degrees two-theta), in order of rising 2θ:
2θ (°)	intensity
25.38	37
31.68	48
33.13	100
45.42	26
49.25	13
57.36	40

=====

PrMgGa2Ir2: theoretical powder diffraction line list (Cu Kα X-rays), based on DFT lattice parameters and positions (PBE).
Kinematic intensities with the Lorentz-polarization factor, no thermal factor.

abc: 4.386 4.386 6.862
angles: 90.00 90.00 120.00
Atoms (fractional coordinates):
Pr 0.000 0.000 0.000
Mg 0.000 0.000 0.500
Ga 0.333 0.667 0.305
Ga 0.667 0.333 0.695
Ir 0.333 0.667 0.700
Ir 0.667 0.333 0.300

The 6 most intense peaks (15 to 90 degrees two-theta), in order of rising 2θ:
2θ (°)	intensity
26.83	98
35.25	99
41.17	100
55.29	27
58.29	45
71.20	25

=====

Pm2Ga7Pt12: theoretical powder diffraction line list (Cu Kα X-rays), based on DFT lattice parameters and positions (PBE).
Kinematic intensities with the Lorentz-polarization factor, no thermal factor.

abc: 10.100 10.100 4.093
angles: 90.00 90.00 120.00
Atoms (fractional coordinates):
Pm 0.000 0.000 0.000
Pm 0.333 0.667 0.500
Ga 0.046 0.463 0.000
Ga 0.266 0.245 0.500
Ga 0.416 0.954 0.000
Ga 0.537 0.584 0.000
Ga 0.667 0.333 0.000
Ga 0.755 0.021 0.500
Ga 0.979 0.734 0.500
Pt 0.027 0.263 0.500
Pt 0.142 0.744 0.000
Pt 0.236 0.973 0.500
Pt 0.256 0.398 0.000
Pt 0.383 0.190 0.000
Pt 0.557 0.428 0.500
Pt 0.572 0.129 0.500
Pt 0.602 0.858 0.000
Pt 0.737 0.764 0.500
Pt 0.807 0.617 0.000
Pt 0.810 0.193 0.000
Pt 0.871 0.443 0.500

The 6 most intense peaks (15 to 90 degrees two-theta), in order of rising 2θ:
2θ (°)	intensity
34.88	100
42.04	18
43.36	25
44.26	24
45.18	13
75.35	13